[1]
The following is a theoretical powder diffraction line list of BaGeTe2. It was derived from a crystal structure in Alexandria, relaxed with GGA-PBE, using CuKα.
Lines closer than 0.1° are merged.

Largest 10 diffraction maxima, low angle first, 2θ = 10–90°:
d/Å  Position (°2θ)  I (rel.)
5.991  14.8  10
3.800  23.4  11
3.458  25.8  100
3.292  27.1  48
2.596  34.6  15
2.452  36.7  34
2.321  38.8  52
2.038  44.4  14
1.834  49.7  13
1.729  52.9  13

Structural model:
```
16
Lattice="8.346 0.000 0.000 0.000 10.382 0.000 -2.632 0.000 7.336" Properties=species:S:1:pos:R:3 pbc="T T T"
Ba -0.544 1.185 7.335
Ba 0.772 4.006 3.667
Ba 4.943 6.376 3.669
Ba 6.259 9.197 0.001
Ge -0.549 7.120 7.324
Ge 0.767 8.453 3.656
Ge 4.947 1.929 3.680
Ge 6.263 3.262 0.012
Te -0.415 6.707 1.831
Te -1.731 8.866 5.499
Te 1.947 6.720 5.493
Te 3.263 8.854 1.825
Te 2.451 1.529 5.511
Te 3.767 3.663 1.843
Te 7.446 1.516 1.837
Te 6.130 3.675 5.505
```

[2]
The following is a theoretical powder diffraction line list of Pa2BeIn. It was derived from a crystal structure in Alexandria, relaxed with GGA-PBE, using CuKα.
Lines closer than 0.1° are merged.

Largest 10 diffraction maxima, low angle first, 2θ = 10–90°:
d/Å  Position (°2θ)  I (rel.)
5.062  17.5  47
3.375  26.4  32
2.680  33.4  38
2.563  35.0  100
2.531  35.5  19
2.485  36.2  21
2.213  40.8  54
1.773  51.5  24
1.572  58.7  24
1.494  62.1  18

Structural model:
```
4
Lattice="1.572 0.908 10.125 -1.572 0.908 10.125 0.000 -1.815 10.125" Properties=species:S:1:pos:R:3 pbc="T T T"
Pa 0.000 0.000 7.253
Pa 0.000 0.000 23.122
Be 0.000 0.000 15.187
In 0.000 0.000 0.000
```

[3]
The following is a theoretical powder diffraction line list of Ac6Nd2Y3. It was derived from a crystal structure in Alexandria, relaxed with GGA-PBE, using CuKα.
Lines closer than 0.1° are merged.

Largest 10 diffraction maxima, low angle first, 2θ = 10–90°:
d/Å  Position (°2θ)  I (rel.)
5.964  14.9  24
3.257  27.4  12
3.111  28.7  100
2.982  30.0  30
2.679  33.4  23
2.658  33.7  44
1.918  47.4  17
1.858  49.0  16
1.629  56.5  10
1.609  57.3  20

Structural model:
```
11
Lattice="3.324 -5.738 0.000 3.324 5.738 0.000 -2.113 0.000 11.928" Properties=species:S:1:pos:R:3 pbc="T T T"
Ac 0.094 1.906 8.948
Ac 1.096 0.000 3.025
Ac 0.094 -1.906 8.948
Ac 4.442 1.906 2.980
Ac 3.440 0.000 8.902
Ac 4.442 -1.906 2.980
Nd 2.268 1.942 5.964
Nd 2.268 -1.942 5.964
Y 3.324 3.835 0.000
Y 3.324 0.000 0.000
Y 3.324 -3.835 0.000
```

[4]
The following is a theoretical powder diffraction line list of Ac2DyH2O6. It was derived from a crystal structure in Alexandria, relaxed with GGA-PBE, using CuKα.
Lines closer than 0.1° are merged.

Largest 10 diffraction maxima, low angle first, 2θ = 10–90°:
d/Å  Position (°2θ)  I (rel.)
4.462  19.9  61
4.067  21.9  37
3.140  28.4  88
2.751  32.5  95
2.669  33.6  100
2.034  44.6  44
1.916  47.5  36
1.617  56.9  27
1.556  59.4  33
1.549  59.7  41

Structural model:
```
11
Lattice="2.669 1.541 5.706 -2.669 1.541 5.706 0.000 -3.081 5.706" Properties=species:S:1:pos:R:3 pbc="T T T"
Ac 0.000 0.000 3.736
Ac 0.000 0.000 13.383
Dy 0.000 0.000 0.000
H 0.000 0.000 7.295
H 0.000 0.000 9.823
O -1.261 -0.728 9.874
O 0.000 -1.457 7.245
O -1.261 0.728 7.245
O 1.261 -0.728 9.874
O 0.000 1.457 9.874
O 1.261 0.728 7.245
```

[5]
The following is a theoretical powder diffraction line list of Tl2InAg. It was derived from a crystal structure in Alexandria, relaxed with GGA-PBE, using CuKα.
Lines closer than 0.1° are merged.

Largest 10 diffraction maxima, low angle first, 2θ = 10–90°:
d/Å  Position (°2θ)  I (rel.)
3.178  28.1  16
3.061  29.2  11
2.726  32.9  100
2.395  37.6  40
2.296  39.2  10
1.886  48.2  11
1.694  54.2  14
1.657  55.4  15
1.615  57.0  11
1.439  64.8  28

Structural model:
```
4
Lattice="3.387 0.000 0.000 0.000 3.387 0.000 0.000 0.000 9.183" Properties=species:S:1:pos:R:3 pbc="T T T"
Tl 0.000 0.000 0.000
Tl 1.694 1.694 2.777
In 1.694 1.694 6.667
Ag 0.000 0.000 4.883
```

[6]
The following is a theoretical powder diffraction line list of Cd4In5. It was derived from a crystal structure in Alexandria, relaxed with GGA-PBE, using CuKα.
Lines closer than 0.1° are merged.

Largest 10 diffraction maxima, low angle first, 2θ = 10–90°:
d/Å  Position (°2θ)  I (rel.)
2.686  33.4  100
2.371  37.9  18
2.305  39.1  32
1.653  55.6  22
1.630  56.5  10
1.422  65.6  13
1.393  67.2  24
1.343  70.1  11
1.186  81.1  2
1.152  84.0  3

Structural model:
```
9
Lattice="-4.889 4.889 2.371 4.889 -4.889 2.371 4.889 4.889 -2.371" Properties=species:S:1:pos:R:3 pbc="T T T"
Cd 3.330 0.000 0.000
Cd 6.449 0.000 0.000
Cd 0.000 3.330 0.000
Cd 0.000 6.449 0.000
In 0.000 0.000 0.000
In 3.242 3.242 0.000
In 1.647 -1.647 2.371
In -1.647 1.647 2.371
In 1.647 1.647 2.371
```

[7]
The following is a theoretical powder diffraction line list of Dy8SnSb5. It was derived from a crystal structure in Alexandria, relaxed with GGA-PBE, using CuKα.
Lines closer than 0.1° are merged.

Largest 10 diffraction maxima, low angle first, 2θ = 10–90°:
d/Å  Position (°2θ)  I (rel.)
2.912  30.7  100
2.461  36.5  69
2.059  44.0  9
1.963  46.2  8
1.880  48.4  19
1.806  50.5  24
1.494  62.1  25
1.456  63.9  12
1.421  65.7  15
1.253  75.9  14

Structural model:
```
14
Lattice="-4.606 4.606 4.601 4.606 -4.606 4.601 4.606 4.606 -4.601" Properties=species:S:1:pos:R:3 pbc="T T T"
Dy 6.235 0.659 0.479
Dy 3.943 2.971 -1.810
Dy 0.659 2.977 -0.479
Dy 0.663 1.635 2.791
Dy 1.635 -0.663 6.411
Dy 3.947 1.629 4.122
Dy 2.971 5.270 1.810
Dy -1.629 3.947 5.080
Sn 0.000 4.606 2.300
Sb 0.000 0.000 0.000
Sb 2.304 -1.151 3.445
Sb 3.455 2.302 1.156
Sb 2.302 5.757 -1.156
Sb 1.151 2.304 5.757
```

[8]
The following is a theoretical powder diffraction line list of RbCePbBr6. It was derived from a crystal structure in Alexandria, relaxed with GGA-PBE, using CuKα.
Lines closer than 0.1° are merged.

Largest 10 diffraction maxima, low angle first, 2θ = 10–90°:
d/Å  Position (°2θ)  I (rel.)
8.737  10.1  48
4.665  19.0  98
4.557  19.5  56
4.368  20.3  72
2.992  29.9  45
2.753  32.5  37
2.718  33.0  100
2.600  34.5  43
2.329  38.7  36
2.161  41.8  41

Structural model:
```
18
Lattice="-5.289 5.506 7.747 5.289 -5.506 7.747 5.289 5.506 -7.747" Properties=species:S:1:pos:R:3 pbc="T T T"
Rb 0.000 2.753 0.908
Rb 5.289 2.753 6.840
Ce 5.289 0.000 0.000
Ce 0.000 0.000 7.747
Pb 2.645 2.753 -3.874
Pb 2.645 -2.753 3.874
Br 3.128 -0.460 1.894
Br 7.451 -0.460 1.894
Br 5.289 -2.753 5.298
Br 5.289 2.753 1.022
Br 3.128 5.046 -1.894
Br 2.161 -0.460 5.854
Br 3.128 5.966 1.894
Br 2.161 0.460 9.641
Br 0.000 2.753 6.726
Br 0.000 8.259 2.450
Br -2.161 5.966 5.854
Br 2.161 5.966 5.854
```

[9]
The following is a theoretical powder diffraction line list of Ca3Np4N9. It was derived from a crystal structure in Alexandria, relaxed with GGA-PBE, using CuKα.
Lines closer than 0.1° are merged.

Largest 10 diffraction maxima, low angle first, 2θ = 10–90°:
d/Å  Position (°2θ)  I (rel.)
4.693  18.9  90
2.929  30.5  100
2.895  30.9  86
2.059  44.0  40
2.002  45.3  46
1.895  48.0  15
1.691  54.2  24
1.685  54.5  38
1.465  63.5  14
1.307  72.3  15

Structural model:
```
16
Lattice="2.929 1.691 8.226 -2.929 1.691 8.226 0.000 -3.382 8.226" Properties=species:S:1:pos:R:3 pbc="T T T"
Ca 0.000 0.000 0.000
Ca 0.000 0.000 4.265
Ca 0.000 0.000 14.726
Np 0.000 0.000 7.474
Np 0.000 0.000 10.679
Np 0.000 0.000 18.264
Np 0.000 0.000 21.441
N -0.492 -1.697 6.238
N -1.638 -0.360 8.872
N -1.861 -0.436 11.752
N -1.223 1.275 6.238
N 1.130 -1.239 8.872
N 1.308 -1.393 11.752
N 1.716 0.422 6.238
N 0.508 1.598 8.872
N 0.553 1.829 11.752
```

[10]
The following is a theoretical powder diffraction line list of V. It was derived from a crystal structure in Alexandria, relaxed with GGA-PBE, using CuKα.
Lines closer than 0.1° are merged.

Largest 10 diffraction maxima, low angle first, 2θ = 10–90°:
d/Å  Position (°2θ)  I (rel.)
2.236  40.3  56
2.210  40.8  6
2.165  41.7  89
2.156  41.9  100
1.982  45.8  8
1.745  52.4  43
1.376  68.2  36
1.277  74.3  14
1.275  74.4  15
1.231  77.6  7

Structural model:
```
8
Lattice="2.474 0.000 0.000 0.000 4.922 0.000 0.000 0.000 8.944" Properties=species:S:1:pos:R:3 pbc="T T T"
V 0.044 0.010 2.236
V 0.044 2.451 6.708
V 1.043 3.692 0.000
V 1.043 3.692 4.472
V 1.431 1.231 0.000
V 1.431 1.231 4.472
V 2.430 2.471 2.236
V 2.430 4.912 6.708
```

[11]
The following is a theoretical powder diffraction line list of K3RbAu. It was derived from a crystal structure in Alexandria, relaxed with GGA-PBE, using CuKα.
Lines closer than 0.1° are merged.

Largest 10 diffraction maxima, low angle first, 2θ = 10–90°:
d/Å  Position (°2θ)  I (rel.)
7.990  11.1  100
6.018  14.7  36
5.937  14.9  38
5.016  17.7  26
4.920  18.0  27
4.624  19.2  38
3.424  26.0  28
3.368  26.5  24
3.153  28.3  20
2.820  31.7  22

Structural model:
```
10
Lattice="8.040 0.000 0.000 0.117 8.064 0.000 0.999 0.122 8.905" Properties=species:S:1:pos:R:3 pbc="T T T"
K 0.000 0.000 0.000
K 0.510 0.240 4.474
K 1.349 4.584 2.344
K 1.905 3.749 6.730
K 4.804 7.769 5.521
K 5.761 3.769 4.397
Rb 4.138 0.737 1.130
Rb 6.294 4.812 8.784
Au 6.941 1.858 6.973
Au 6.534 6.553 2.627
```

[12]
The following is a theoretical powder diffraction line list of ZnSnBr6. It was derived from a crystal structure in Alexandria, relaxed with GGA-PBE, using CuKα.
Lines closer than 0.1° are merged.

Largest 10 diffraction maxima, low angle first, 2θ = 10–90°:
d/Å  Position (°2θ)  I (rel.)
6.087  14.6  49
5.918  15.0  100
3.481  25.6  22
3.386  26.3  50
2.765  32.4  96
2.237  40.3  26
2.220  40.6  28
2.146  42.1  26
2.138  42.3  24
2.029  44.7  16

Structural model:
```
8
Lattice="3.869 -6.087 0.000 3.869 6.087 0.000 -3.654 0.000 6.613" Properties=species:S:1:pos:R:3 pbc="T T T"
Zn 0.000 0.000 0.000
Sn -1.827 0.000 3.306
Br 1.042 4.271 5.074
Br 3.042 4.271 1.538
Br 0.393 0.000 4.560
Br 3.691 0.000 2.052
Br 1.042 -4.271 5.074
Br 3.042 -4.271 1.538
```